The following is a calculated powder diffractogram of BaAc2PrSb4. It was derived from a DFT-relaxed cell (GGA-PBE, Alexandria), using CuKα.

Crystal structure
```
BaAc2PrSb4
1.0
8.258 0.000 0.000
0.000 4.781 0.000
-2.763 0.000 7.855
Ba Ac Pr Sb
1 2 1 4
Cartesian
0.000 0.000 0.000
2.748 0.000 3.928
4.129 2.391 0.000
-1.382 2.391 3.928
-0.017 0.000 5.797
1.366 2.391 2.071
4.129 2.391 5.785
5.512 0.000 2.059
```

Largest 6 diffraction maxima, most intense first, 10° ≤ 2θ ≤ 80°:
hkl  d/Å  intensity
1 1 1  3.384  100
0 2 0  2.387  39
2 0 2  2.399  39
3 1 3  1.517  18
2 2 -2  1.952  14
2 2 2  1.692  13

***

The following is a calculated powder diffractogram of Ba2AcPt. It was derived from a DFT-relaxed cell (GGA-PBE, Alexandria), using CuKα.

Crystal structure
```
Ba2AcPt
1.0
4.389 0.000 0.000
0.000 19.659 0.000
0.000 0.000 4.389
Ba Ac Pt
4 2 2
Cartesian
0.000 1.665 0.000
0.000 14.584 4.384
2.194 5.074 2.190
2.194 17.994 2.194
0.000 8.379 4.379
2.194 11.280 2.185
0.000 11.441 4.379
2.194 8.218 2.184
```

Largest 6 diffraction maxima, most intense first, 10° ≤ 2θ ≤ 80°:
hkl  d/Å  intensity
1 0 1  3.103  100
1 6 1  2.253  78
0 6 0  3.276  55
1 3 0  3.646  55
2 6 0  1.823  41
2 0 0  2.194  38

***

Repeat the first record exactly.
The following is a calculated powder diffractogram of BaAc2PrSb4. It was derived from a DFT-relaxed cell (GGA-PBE, Alexandria), using CuKα.

Crystal structure
```
BaAc2PrSb4
1.0
8.258 0.000 0.000
0.000 4.781 0.000
-2.763 0.000 7.855
Ba Ac Pr Sb
1 2 1 4
Cartesian
0.000 0.000 0.000
2.748 0.000 3.928
4.129 2.391 0.000
-1.382 2.391 3.928
-0.017 0.000 5.797
1.366 2.391 2.071
4.129 2.391 5.785
5.512 0.000 2.059
```

Largest 6 diffraction maxima, most intense first, 10° ≤ 2θ ≤ 80°:
hkl  d/Å  intensity
1 1 1  3.384  100
0 2 0  2.387  39
2 0 2  2.399  39
3 1 3  1.517  18
2 2 -2  1.952  14
2 2 2  1.692  13